For Ba8LiPd4, a GGA-PBE-relaxed structure gives the simulated X-ray diffraction stick pattern in this record (Cu Kα (weighted mean of Kα1 and Kα2)).
Intensities are scaled so that the largest is 100.

Peak list (10 most intense, 2θ from 10° to 90°, most intense first)
2θ = 24.9°, intensity 100
2θ = 26.0°, intensity 84
2θ = 40.3°, intensity 79
2θ = 11.7°, intensity 60
2θ = 25.5°, intensity 49
2θ = 31.0°, intensity 47
2θ = 29.5°, intensity 45
2θ = 38.6°, intensity 45
2θ = 10.6°, intensity 39
2θ = 27.1°, intensity 39

Crystal structure
```
Ba8LiPd4
1.0
11.0819 -2.3305 0.0000
11.0819 2.3305 0.0000
-9.9532 0.0000 11.4335
Ba Li Pd
8 1 4
Cartesian
0.0000 0.0000 0.0000 Ba
-6.7599 0.0000 8.4810 Ba
-3.2293 0.0000 5.4975 Ba
0.6056 0.0000 7.6077 Ba
7.5390 0.0000 1.7763 Ba
11.3726 0.0000 3.8870 Ba
14.9046 0.0000 0.9040 Ba
8.1445 0.0000 9.3844 Ba
4.0754 0.0000 4.6967 Li
-1.6091 0.0000 2.7465 Pd
-4.5538 0.0000 10.8213 Pd
2.7454 0.0000 9.9967 Pd
9.7529 0.0000 6.6375 Pd
```

***

For K2In15Hg2, a GGA-PBE-relaxed structure gives the simulated X-ray diffraction stick pattern in this record (Cu Kα (weighted mean of Kα1 and Kα2)).
Intensities are scaled so that the largest is 100.

Peak list (10 most intense, 2θ from 10° to 90°, most intense first)
2θ = 33.1°, intensity 100
2θ = 37.0°, intensity 96
2θ = 10.9°, intensity 59
2θ = 33.0°, intensity 55
2θ = 36.6°, intensity 40
2θ = 59.2°, intensity 34
2θ = 28.8°, intensity 34
2θ = 28.6°, intensity 29
2θ = 32.4°, intensity 22
2θ = 58.2°, intensity 20

Crystal structure
```
K2In15Hg2
1.0
5.4038 3.1199 5.5190
-5.4038 3.1199 5.5190
0.0000 -6.2398 5.5190
K In Hg
2 15 2
Cartesian
0.0000 0.0000 2.7743 K
0.0000 0.0000 13.7828 K
-2.7019 -1.5599 5.5190 In
0.0000 -3.1835 5.1601 In
-2.7570 1.5918 5.1601 In
-1.5784 -2.7338 8.2785 In
-3.1567 0.0000 8.2785 In
-2.7570 -1.5918 11.3969 In
-2.7019 1.5599 11.0380 In
1.5784 -2.7338 8.2785 In
0.0000 3.1199 5.5190 In
-1.5784 2.7338 8.2785 In
2.7570 1.5918 5.1601 In
3.1567 0.0000 8.2785 In
1.5784 2.7338 8.2785 In
2.7570 -1.5918 11.3969 In
0.0000 3.1835 11.3969 In
0.0000 0.0000 6.6162 Hg
0.0000 0.0000 9.9409 Hg
```